Entry 1:
CsPu2GaI8: computed powder XRD pattern (Cu Kα X-rays), based on a structure optimized by DFT (GGA-PBE).
No peak broadening, texture or thermal motion is included.

Atomic structure:
```
data_CsPu2GaI8
_chemical_formula_sum 'Cs1 Pu2 Ga1 I8'
_symmetry_space_group_name_H-M 'P -1'
_symmetry_Int_Tables_number 2
_cell_length_a 7.670
_cell_length_b 8.204
_cell_length_c 9.546
_cell_angle_alpha 89.93
_cell_angle_beta 89.91
_cell_angle_gamma 86.86
loop_
_symmetry_equiv_pos_as_xyz
'x,y,z'
'-x,-y,-z'
loop_
_atom_site_label
_atom_site_fract_x
_atom_site_fract_y
_atom_site_fract_z
Cs1 0.000 0.000 0.000
Pu1 0.500 0.500 0.257
Ga1 0.000 0.000 0.500
I1 0.268 0.367 0.500
I2 0.275 0.387 0.000
I3 0.280 0.821 0.720
I4 0.281 0.821 0.280
```

Most intense lines, 2θ = 10–90°, low angle first:
10.80 deg, I 43, hkl 0 1 0
11.56 deg, I 41, hkl 1 0 0
15.40 deg, I 75, hkl 1 1 0
16.27 deg, I 36, hkl 1 -1 0
21.94 deg, I 52, hkl 1 0 -2
24.23 deg, I 76, hkl 1 1 -2
25.21 deg, I 47, hkl 1 -2 0
31.44 deg, I 100, hkl 2 1 2
32.34 deg, I 38, hkl -2 1 2
37.97 deg, I 67, hkl 0 3 -2

Entry 2:
CsGa2SnI8: computed powder XRD pattern (Cu Kα X-rays), based on a structure optimized by DFT (GGA-PBE).
No peak broadening, texture or thermal motion is included.

Atomic structure:
```
data_CsGa2SnI8
_chemical_formula_sum 'Cs1 Ga2 Sn1 I8'
_symmetry_space_group_name_H-M 'P -3'
_symmetry_Int_Tables_number 147
_cell_length_a 7.7025
_cell_length_b 7.7025
_cell_length_c 11.0169
_cell_angle_alpha 90.00
_cell_angle_beta 90.00
_cell_angle_gamma 120.00
loop_
_symmetry_equiv_pos_as_xyz
'x,y,z'
'-x,-y,-z'
'-y,x-y,z'
'y,-x+y,-z'
'-x+y,-x,z'
'x-y,x,-z'
loop_
_atom_site_label
_atom_site_fract_x
_atom_site_fract_y
_atom_site_fract_z
Cs1 0.0000 0.0000 0.0000
Ga1 0.3333 0.6667 0.7589
Sn1 0.0000 0.0000 0.5000
I1 0.0050 0.3320 0.6795
I2 0.3333 0.6667 0.9975
```

Most intense lines, 2θ = 10–90°, low angle first:
15.53 deg, I 19, hkl 0 1 1
24.24 deg, I 30, hkl 0 0 3
24.49 deg, I 100, hkl 1 1 1
28.27 deg, I 79, hkl 2 -1 2
40.26 deg, I 46, hkl 1 1 4
40.57 deg, I 48, hkl 3 0 0
47.54 deg, I 16, hkl 2 -1 5
47.82 deg, I 28, hkl 3 0 3
47.96 deg, I 16, hkl 4 -2 1
50.19 deg, I 16, hkl 2 2 2

Entry 3:
CsTl2GaI4: computed powder XRD pattern (Cu Kα X-rays), based on a structure optimized by DFT (GGA-PBE).
No peak broadening, texture or thermal motion is included.

Atomic structure:
```
data_CsTl2GaI4
_chemical_formula_sum 'Cs4 Tl8 Ga4 I16'
_symmetry_space_group_name_H-M 'C m c m'
_symmetry_Int_Tables_number 63
_symmetry_space_group_name_Hall '-C 2c 2'
_cell_length_a 5.298
_cell_length_b 17.241
_cell_length_c 17.059
_cell_angle_alpha 90.00
_cell_angle_beta 90.00
_cell_angle_gamma 90.00
loop_
_atom_site_label
_atom_site_fract_x
_atom_site_fract_y
_atom_site_fract_z
Cs1 0.000 0.126 0.250
Tl1 0.000 0.376 0.051
Ga1 0.000 0.142 0.750
I1 0.000 0.000 0.000
I2 0.000 0.263 0.616
I3 0.000 0.461 0.250
```

Most intense lines, 2θ = 10–90°, low angle first:
18.69 deg, I 23, hkl 0 2 3
23.27 deg, I 35, hkl 0 2 4
23.43 deg, I 51, hkl 1 3 1
25.13 deg, I 100, hkl 1 3 2
27.76 deg, I 18, hkl 1 3 3
31.62 deg, I 33, hkl 1 1 5
32.72 deg, I 34, hkl 1 5 2
33.84 deg, I 38, hkl 2 0 0
34.82 deg, I 30, hkl 1 5 3
34.98 deg, I 33, hkl 0 6 3

Entry 4:
Cs2UGaI6: computed powder XRD pattern (Cu Kα X-rays), based on a structure optimized by DFT (GGA-PBE).
No peak broadening, texture or thermal motion is included.

Atomic structure:
```
data_Cs2UGaI6
_chemical_formula_sum 'Cs4 U2 Ga2 I12'
_symmetry_space_group_name_H-M 'P m m n'
_symmetry_Int_Tables_number 59
_cell_length_a 8.949
_cell_length_b 12.668
_cell_length_c 8.970
_cell_angle_alpha 90.00
_cell_angle_beta 90.00
_cell_angle_gamma 90.00
loop_
_symmetry_equiv_pos_as_xyz
'x,y,z'
'-x,-y,-z'
'-x+1/2,-y+1/2,z'
'x+1/2,y+1/2,-z'
'x+1/2,-y,-z'
'-x+1/2,y,z'
'-x,y+1/2,-z'
'x,-y+1/2,z'
loop_
_atom_site_label
_atom_site_fract_x
_atom_site_fract_y
_atom_site_fract_z
Cs1 0.250 0.004 0.242
U1 0.250 0.750 0.753
Ga1 0.250 0.250 0.745
I1 0.002 0.750 0.510
I2 0.005 0.750 0.001
I3 0.250 0.504 0.755
```

Most intense lines, 2θ = 10–90°, low angle first:
12.10 deg, I 15, hkl 0 1 1
13.98 deg, I 25, hkl 0 2 0
19.82 deg, I 26, hkl 2 0 0
24.34 deg, I 58, hkl 2 2 0
28.17 deg, I 100, hkl 0 4 0
31.58 deg, I 15, hkl 1 4 1
40.27 deg, I 76, hkl 4 0 0
47.61 deg, I 26, hkl 4 2 2
49.87 deg, I 27, hkl 4 4 0
65.93 deg, I 29, hkl 2 8 2

Entry 5:
Cs5In2Ga4: computed powder XRD pattern (Cu Kα X-rays), based on a structure optimized by DFT (GGA-PBE).
No peak broadening, texture or thermal motion is included.

Atomic structure:
```
data_Cs5In2Ga4
_chemical_formula_sum 'Cs10 In4 Ga8'
_symmetry_space_group_name_H-M 'C 1 2/m 1'
_symmetry_Int_Tables_number 12
_cell_length_a 9.492
_cell_length_b 12.647
_cell_length_c 10.775
_cell_angle_alpha 90.00
_cell_angle_beta 107.84
_cell_angle_gamma 90.00
loop_
_symmetry_equiv_pos_as_xyz
'x,y,z'
'-x,-y,-z'
'-x,y,-z'
'x,-y,z'
'x+1/2,y+1/2,z'
'-x+1/2,-y+1/2,-z'
'-x+1/2,y+1/2,-z'
'x+1/2,-y+1/2,z'
loop_
_atom_site_label
_atom_site_fract_x
_atom_site_fract_y
_atom_site_fract_z
Cs1 0.000 0.000 0.000
Cs2 0.250 0.201 0.719
In1 0.097 0.000 0.396
Ga1 0.110 0.500 0.456
Ga2 0.155 0.500 0.717
```

Most intense lines, 2θ = 10–90°, low angle first:
21.87 deg, I 29, hkl 2 0 -2
22.32 deg, I 81, hkl 0 2 2
23.78 deg, I 100, hkl 1 3 -1
24.21 deg, I 74, hkl 2 2 0
25.90 deg, I 56, hkl 1 3 1
26.07 deg, I 47, hkl 0 0 3
28.22 deg, I 47, hkl 0 4 0
30.10 deg, I 51, hkl 2 0 2
30.96 deg, I 83, hkl 2 2 -3
53.34 deg, I 26, hkl 3 5 -4

Entry 6:
Cs4In5Ga: computed powder XRD pattern (Cu Kα X-rays), based on a structure optimized by DFT (GGA-PBE).
No peak broadening, texture or thermal motion is included.

Atomic structure:
```
data_Cs4In5Ga
_chemical_formula_sum 'Cs4 In5 Ga1'
_symmetry_space_group_name_H-M 'P 1'
_symmetry_Int_Tables_number 1
_cell_length_a 6.993
_cell_length_b 8.333
_cell_length_c 9.355
_cell_angle_alpha 81.18
_cell_angle_beta 68.08
_cell_angle_gamma 65.41
loop_
_symmetry_equiv_pos_as_xyz
'x,y,z'
loop_
_atom_site_label
_atom_site_fract_x
_atom_site_fract_y
_atom_site_fract_z
Cs1 0.000 0.000 0.000
Cs2 0.071 0.529 0.327
Cs3 0.341 0.924 0.391
Cs4 0.729 0.605 0.938
In1 0.235 0.265 0.664
In2 0.406 0.518 0.703
In3 0.431 0.210 0.942
In4 0.653 0.319 0.386
In5 0.694 0.011 0.626
Ga1 0.831 0.264 0.664
```

Most intense lines, 2θ = 10–90°, low angle first:
10.19 deg, I 18, hkl 0 0 1
11.68 deg, I 20, hkl 0 1 0
20.78 deg, I 15, hkl 1 0 -1
23.61 deg, I 14, hkl 0 1 -2
25.47 deg, I 38, hkl 2 1 1
26.65 deg, I 100, hkl -1 1 1
26.73 deg, I 34, hkl 1 2 2
30.91 deg, I 25, hkl 0 0 3
32.90 deg, I 17, hkl 2 1 3
34.99 deg, I 15, hkl 2 3 1

Entry 7:
Cs4In4Ga: computed powder XRD pattern (Cu Kα X-rays), based on a structure optimized by DFT (GGA-PBE).
No peak broadening, texture or thermal motion is included.

Atomic structure:
```
data_Cs4In4Ga
_chemical_formula_sum 'Cs8 In8 Ga2'
_symmetry_space_group_name_H-M 'I 2 2 2'
_symmetry_Int_Tables_number 23
_cell_length_a 6.966
_cell_length_b 8.348
_cell_length_c 14.957
_cell_angle_alpha 90.00
_cell_angle_beta 90.00
_cell_angle_gamma 90.00
loop_
_symmetry_equiv_pos_as_xyz
'x,y,z'
'-x,-y,z'
'x,-y,-z'
'-x,y,-z'
'x+1/2,y+1/2,z+1/2'
'-x+1/2,-y+1/2,z+1/2'
'x+1/2,-y+1/2,-z+1/2'
'-x+1/2,y+1/2,-z+1/2'
loop_
_atom_site_label
_atom_site_fract_x
_atom_site_fract_y
_atom_site_fract_z
Cs1 0.213 0.157 0.348
In1 0.161 0.127 0.080
Ga1 0.000 0.500 0.500
```

Most intense lines, 2θ = 10–90°, low angle first:
12.14 deg, I 25, hkl 0 1 1
20.75 deg, I 27, hkl 0 1 3
23.80 deg, I 20, hkl 0 0 4
25.58 deg, I 100, hkl 2 0 0
28.40 deg, I 18, hkl 2 1 1
29.14 deg, I 53, hkl 1 1 4
30.74 deg, I 43, hkl 1 2 3
33.16 deg, I 19, hkl 2 1 3
45.52 deg, I 18, hkl 2 3 3
54.13 deg, I 18, hkl 0 3 7

Entry 8:
Cs3In4Ga2: computed powder XRD pattern (Cu Kα X-rays), based on a structure optimized by DFT (GGA-PBE).
No peak broadening, texture or thermal motion is included.

Atomic structure:
```
data_Cs3In4Ga2
_chemical_formula_sum 'Cs12 In16 Ga8'
_symmetry_space_group_name_H-M 'C 1 2/c 1'
_symmetry_Int_Tables_number 15
_cell_length_a 18.747
_cell_length_b 10.451
_cell_length_c 7.639
_cell_angle_alpha 90.00
_cell_angle_beta 111.65
_cell_angle_gamma 90.00
loop_
_symmetry_equiv_pos_as_xyz
'x,y,z'
'-x,-y,-z'
'-x,y,-z+1/2'
'x,-y,z+1/2'
'x+1/2,y+1/2,z'
'-x+1/2,-y+1/2,-z'
'-x+1/2,y+1/2,-z+1/2'
'x+1/2,-y+1/2,z+1/2'
loop_
_atom_site_label
_atom_site_fract_x
_atom_site_fract_y
_atom_site_fract_z
Cs1 0.000 0.013 0.250
Cs2 0.100 0.386 0.103
In1 0.144 0.231 0.648
In2 0.220 0.107 0.050
Ga1 0.229 0.134 0.420
```

Most intense lines, 2θ = 10–90°, low angle first:
10.15 deg, I 71, hkl 2 0 0
25.44 deg, I 52, hkl 2 2 1
25.57 deg, I 61, hkl 3 1 -2
26.03 deg, I 100, hkl 4 2 -1
26.64 deg, I 39, hkl 4 2 0
26.97 deg, I 98, hkl 5 1 0
29.83 deg, I 95, hkl 1 3 1
30.49 deg, I 86, hkl 2 0 2
31.81 deg, I 49, hkl 6 0 -2
39.54 deg, I 44, hkl 2 2 -3

Entry 9:
CsInGa2Pb: computed powder XRD pattern (Cu Kα X-rays), based on a structure optimized by DFT (GGA-PBE).
No peak broadening, texture or thermal motion is included.

Atomic structure:
```
data_CsInGa2Pb
_chemical_formula_sum 'Cs2 In2 Ga4 Pb2'
_symmetry_space_group_name_H-M 'I m m 2'
_symmetry_Int_Tables_number 44
_cell_length_a 5.051
_cell_length_b 5.146
_cell_length_c 11.929
_cell_angle_alpha 90.00
_cell_angle_beta 90.00
_cell_angle_gamma 90.00
loop_
_symmetry_equiv_pos_as_xyz
'x,y,z'
'-x,-y,z'
'-x,y,z'
'x,-y,z'
'x+1/2,y+1/2,z+1/2'
'-x+1/2,-y+1/2,z+1/2'
'-x+1/2,y+1/2,z+1/2'
'x+1/2,-y+1/2,z+1/2'
loop_
_atom_site_label
_atom_site_fract_x
_atom_site_fract_y
_atom_site_fract_z
Cs1 0.000 0.000 0.000
In1 0.000 0.500 0.761
Ga1 0.000 0.000 0.369
Ga2 0.000 0.500 0.265
Pb1 0.000 0.000 0.619
```

Most intense lines, 2θ = 10–90°, low angle first:
24.70 deg, I 26, hkl 1 1 0
28.37 deg, I 49, hkl 0 1 3
28.57 deg, I 39, hkl 1 0 3
28.94 deg, I 100, hkl 1 1 2
34.87 deg, I 41, hkl 0 2 0
35.54 deg, I 39, hkl 2 0 0
39.21 deg, I 36, hkl 1 1 4
45.67 deg, I 25, hkl 1 2 3
46.08 deg, I 26, hkl 2 1 3
50.64 deg, I 28, hkl 2 2 0

Entry 10:
CsKGa: computed powder XRD pattern (Cu Kα X-rays), based on a structure optimized by DFT (GGA-PBE).
No peak broadening, texture or thermal motion is included.

Atomic structure:
```
data_CsKGa
_chemical_formula_sum 'Cs2 K2 Ga2'
_symmetry_space_group_name_H-M 'P 1'
_symmetry_Int_Tables_number 1
_cell_length_a 4.649
_cell_length_b 7.327
_cell_length_c 10.247
_cell_angle_alpha 104.48
_cell_angle_beta 102.77
_cell_angle_gamma 90.23
loop_
_symmetry_equiv_pos_as_xyz
'x,y,z'
loop_
_atom_site_label
_atom_site_fract_x
_atom_site_fract_y
_atom_site_fract_z
Cs1 0.000 0.000 0.000
Cs2 0.321 0.705 0.621
K1 0.569 0.546 0.140
K2 0.752 0.159 0.480
Ga1 0.401 0.281 0.789
Ga2 0.922 0.424 0.831
```

Most intense lines, 2θ = 10–90°, low angle first:
23.55 deg, I 50, hkl 1 0 1
23.66 deg, I 51, hkl 1 0 -2
23.99 deg, I 79, hkl 1 1 0
24.45 deg, I 90, hkl 0 2 -1
24.85 deg, I 100, hkl 0 1 2
24.96 deg, I 54, hkl 1 -1 1
25.12 deg, I 58, hkl 1 1 -2
27.13 deg, I 50, hkl 0 2 -2
27.33 deg, I 72, hkl 0 1 -3
33.07 deg, I 53, hkl 1 2 0

Entry 11:
Cs2K4GaP2: computed powder XRD pattern (Cu Kα X-rays), based on a structure optimized by DFT (GGA-PBE).
No peak broadening, texture or thermal motion is included.

Atomic structure:
```
data_Cs2K4GaP2
_chemical_formula_sum 'Cs4 K8 Ga2 P4'
_symmetry_space_group_name_H-M 'C 1 2/m 1'
_symmetry_Int_Tables_number 12
_cell_length_a 16.766
_cell_length_b 13.729
_cell_length_c 5.024
_cell_angle_alpha 90.00
_cell_angle_beta 90.30
_cell_angle_gamma 90.00
loop_
_symmetry_equiv_pos_as_xyz
'x,y,z'
'-x,-y,-z'
'-x,y,-z'
'x,-y,z'
'x+1/2,y+1/2,z'
'-x+1/2,-y+1/2,-z'
'-x+1/2,y+1/2,-z'
'x+1/2,-y+1/2,z'
loop_
_atom_site_label
_atom_site_fract_x
_atom_site_fract_y
_atom_site_fract_z
Cs1 0.160 0.000 0.000
K1 0.129 0.346 0.504
Ga1 0.000 0.500 0.000
P1 0.130 0.500 0.004
```

Most intense lines, 2θ = 10–90°, low angle first:
12.90 deg, I 92, hkl 0 2 0
17.13 deg, I 35, hkl 3 1 0
17.65 deg, I 21, hkl 0 0 1
21.20 deg, I 27, hkl 4 0 0
21.92 deg, I 100, hkl 0 2 1
24.63 deg, I 45, hkl 3 1 -1
24.76 deg, I 44, hkl 3 1 1
25.15 deg, I 56, hkl 3 3 0
31.57 deg, I 51, hkl 0 4 1
35.74 deg, I 21, hkl 0 0 2

Entry 12:
Cs6K3GaSb4: computed powder XRD pattern (Cu Kα X-rays), based on a structure optimized by DFT (GGA-PBE).
No peak broadening, texture or thermal motion is included.

Atomic structure:
```
data_Cs6K3GaSb4
_chemical_formula_sum 'Cs12 K6 Ga2 Sb8'
_symmetry_space_group_name_H-M 'P 63/m m c'
_symmetry_Int_Tables_number 194
_symmetry_space_group_name_Hall '-P 6c 2c'
_cell_length_a 11.1784
_cell_length_b 11.1784
_cell_length_c 11.6869
_cell_angle_alpha 90.00
_cell_angle_beta 90.00
_cell_angle_gamma 120.00
loop_
_atom_site_label
_atom_site_fract_x
_atom_site_fract_y
_atom_site_fract_z
Cs1 0.2090 0.4180 0.0422
K1 0.1195 0.2389 0.7500
Ga1 0.3333 0.6667 0.7500
Sb1 0.0000 0.0000 0.0000
Sb2 0.0554 0.5277 0.7500
```

Most intense lines, 2θ = 10–90°, low angle first:
23.87 deg, I 21, hkl 2 0 2
24.33 deg, I 19, hkl 2 1 0
24.63 deg, I 23, hkl 1 0 3
28.77 deg, I 100, hkl 2 1 2
30.60 deg, I 13, hkl 0 0 4
32.03 deg, I 16, hkl 2 2 0
47.10 deg, I 21, hkl 3 2 3
48.07 deg, I 17, hkl 3 0 5
48.88 deg, I 12, hkl 3 3 0
49.60 deg, I 18, hkl 5 0 2

- What is the formula in the first record?
  CsPu2GaI8